Diffraction record for EuMg3Ge3. The powder X-ray diffraction pattern is computed, not measured: it uses a crystal structure in the Materials Project, relaxed with GGA-PBE and Cu Ka.
Lines closer than 0.1° are merged.

Atomic structure:
```
data_EuMg3Ge3
_cell_length_a 4.486
_cell_length_b 30.933
_cell_length_c 4.611
_cell_angle_alpha 90.00
_cell_angle_beta 90.00
_cell_angle_gamma 90.00
_space_group_name_H-M_alt 'C m c m'
_space_group_IT_number 63
_space_group_name_Hall '-C 2c 2'
loop_
_atom_site_label
_atom_site_type_symbol
_atom_site_fract_x
_atom_site_fract_y
_atom_site_fract_z
Eu1 Eu 0.000 0.056 0.250
Mg1 Mg 0.000 0.147 0.750
Mg2 Mg 0.000 0.250 0.750
Mg3 Mg 0.000 0.354 0.750
Ge1 Ge 0.000 0.199 0.250
Ge2 Ge 0.000 0.403 0.250
Ge3 Ge 0.000 0.484 0.250
```

The 12 most intense peaks (10 to 90 degrees two-theta), most intense first:
Position (°2θ)  Rel. int.
31.35  100
29.09  96
25.92  66
39.07  61
28.35  56
40.20  56
32.83  52
45.52  48
57.30  39
62.33  37
27.89  33
34.49  33

Diffraction record for Ba3Sn2P4. The powder X-ray diffraction pattern is computed, not measured: it uses a crystal structure in the Materials Project, relaxed with GGA-PBE and Cu Ka.
Lines closer than 0.1° are merged.

Atomic structure:
```
data_Ba3Sn2P4
_cell_length_a 7.987
_cell_length_b 19.693
_cell_length_c 7.823
_cell_angle_alpha 90.00
_cell_angle_beta 112.50
_cell_angle_gamma 90.00
_space_group_name_H-M_alt 'P 1 21/c 1'
_space_group_IT_number 14
_space_group_name_Hall '-P 2ybc'
loop_
_atom_site_label
_atom_site_type_symbol
_atom_site_fract_x
_atom_site_fract_y
_atom_site_fract_z
Ba1 Ba 0.209 0.183 0.007
Ba2 Ba 0.260 0.066 0.513
Ba3 Ba 0.263 0.560 0.509
Sn1 Sn 0.210 0.622 0.023
Sn2 Sn 0.316 0.743 0.893
P1 P 0.002 0.553 0.753
P2 P 0.041 0.682 0.214
P3 P 0.491 0.202 0.791
P4 P 0.494 0.565 0.244
```

The 12 most intense peaks (10 to 90 degrees two-theta), most intense first:
Position (°2θ)  Rel. int.
27.19  100
24.63  31
24.12  31
22.57  27
41.11  20
39.15  19
38.47  18
34.11  16
30.43  14
25.76  12
46.08  12
43.15  10

Diffraction record for BaMgCuO2. The powder X-ray diffraction pattern is computed, not measured: it uses a crystal structure in the Materials Project, relaxed with GGA-PBE and Cu Ka.
Lines closer than 0.1° are merged.

Atomic structure:
```
data_BaMgCuO2
_cell_length_a 3.346
_cell_length_b 4.784
_cell_length_c 5.257
_cell_angle_alpha 90.00
_cell_angle_beta 90.00
_cell_angle_gamma 90.00
_space_group_name_H-M_alt 'P m m 2'
_space_group_IT_number 25
_space_group_name_Hall 'P 2 -2'
loop_
_atom_site_label
_atom_site_type_symbol
_atom_site_fract_x
_atom_site_fract_y
_atom_site_fract_z
Ba1 Ba 0.000 0.000 0.000
Mg1 Mg 0.000 0.500 0.420
Cu1 Cu 0.500 0.500 0.802
O1 O 0.500 0.000 0.647
O2 O 0.500 0.500 0.190
```

The 12 most intense peaks (10 to 90 degrees two-theta), most intense first:
Position (°2θ)  Rel. int.
36.97  100
16.87  83
32.66  55
25.17  47
37.60  41
39.10  40
43.80  36
59.06  29
31.70  27
55.88  19
41.47  17
67.45  16

Diffraction record for CaHg11. The powder X-ray diffraction pattern is computed, not measured: it uses a crystal structure in the Materials Project, relaxed with GGA-PBE and Cu Ka.
Lines closer than 0.1° are merged.

Atomic structure:
```
data_CaHg11
_cell_length_a 10.000
_cell_length_b 10.000
_cell_length_c 10.000
_cell_angle_alpha 90.00
_cell_angle_beta 90.00
_cell_angle_gamma 90.00
_space_group_name_H-M_alt 'P m -3 m'
_space_group_IT_number 221
_space_group_name_Hall '-P 4 2 3'
loop_
_atom_site_label
_atom_site_type_symbol
_atom_site_fract_x
_atom_site_fract_y
_atom_site_fract_z
Ca1 Ca 0.000 0.000 0.500
Hg1 Hg 0.000 0.343 0.343
Hg2 Hg 0.153 0.153 0.153
Hg3 Hg 0.263 0.263 0.500
Hg4 Hg 0.500 0.500 0.500
```

The 12 most intense peaks (10 to 90 degrees two-theta), most intense first:
Position (°2θ)  Rel. int.
37.07  100
38.18  67
30.98  47
59.16  38
29.63  37
41.38  35
69.01  32
32.28  25
28.22  19
51.71  15
15.35  13
61.51  11

Diffraction record for Os3C12I2O12. The powder X-ray diffraction pattern is computed, not measured: it uses a crystal structure in the Materials Project, relaxed with GGA-PBE and Cu Ka.
Lines closer than 0.1° are merged.

Atomic structure:
```
data_Os3C12I2O12
_cell_length_a 9.385
_cell_length_b 11.702
_cell_length_c 12.782
_cell_angle_alpha 90.00
_cell_angle_beta 126.32
_cell_angle_gamma 90.00
_space_group_name_H-M_alt 'P 1 21/c 1'
_space_group_IT_number 14
_space_group_name_Hall '-P 2ybc'
loop_
_atom_site_label
_atom_site_type_symbol
_atom_site_fract_x
_atom_site_fract_y
_atom_site_fract_z
Os1 Os 0.000 0.000 0.000
Os2 Os 0.265 0.147 0.226
C1 C 0.054 0.205 0.206
C2 C 0.121 0.030 0.920
C3 C 0.152 0.633 0.589
C4 C 0.291 0.021 0.330
C5 C 0.429 0.245 0.370
C6 C 0.442 0.092 0.201
I1 I 0.217 0.172 0.562
O1 O 0.070 0.740 0.306
O2 O 0.190 0.046 0.871
O3 O 0.245 0.710 0.645
O4 O 0.308 0.555 0.896
O5 O 0.454 0.564 0.314
O6 O 0.473 0.697 0.542
```

The 12 most intense peaks (10 to 90 degrees two-theta), most intense first:
Position (°2θ)  Rel. int.
13.94  100
12.20  60
31.30  24
30.20  23
29.33  17
27.16  17
19.20  16
17.43  14
35.34  14
11.45  14
29.99  13
20.67  13

Diffraction record for Si2TeO7. The powder X-ray diffraction pattern is computed, not measured: it uses a crystal structure in the Materials Project, relaxed with GGA-PBE and Cu Ka.
Lines closer than 0.1° are merged.

Atomic structure:
```
data_Si2TeO7
_cell_length_a 17.550
_cell_length_b 7.871
_cell_length_c 10.661
_cell_angle_alpha 90.00
_cell_angle_beta 124.41
_cell_angle_gamma 90.00
_space_group_name_H-M_alt 'C 1 2/c 1'
_space_group_IT_number 15
_space_group_name_Hall '-C 2yc'
loop_
_atom_site_label
_atom_site_type_symbol
_atom_site_fract_x
_atom_site_fract_y
_atom_site_fract_z
Si1 Si 0.134 0.175 0.099
Si2 Si 0.170 0.197 0.665
Te1 Te 0.000 0.292 0.750
Te2 Te 0.000 0.500 0.000
O1 O 0.064 0.486 0.901
O2 O 0.071 0.309 0.126
O3 O 0.080 0.133 0.911
O4 O 0.086 0.326 0.668
O5 O 0.139 0.004 0.678
O6 O 0.162 0.242 0.515
O7 O 0.235 0.257 0.168
```

The 12 most intense peaks (10 to 90 degrees two-theta), most intense first:
Position (°2θ)  Rel. int.
12.23  100
12.80  67
21.60  61
13.99  60
37.18  34
16.65  29
31.19  28
18.34  25
18.90  25
30.48  22
28.78  17
27.99  16

Diffraction record for Ta2CrOs. The powder X-ray diffraction pattern is computed, not measured: it uses a crystal structure in the Materials Project, relaxed with GGA-PBE and Cu Ka.
Lines closer than 0.1° are merged.

Atomic structure:
```
data_Ta2CrOs
_cell_length_a 6.294
_cell_length_b 6.294
_cell_length_c 6.294
_cell_angle_alpha 90.00
_cell_angle_beta 90.00
_cell_angle_gamma 90.00
_space_group_name_H-M_alt 'F m -3 m'
_space_group_IT_number 225
_space_group_name_Hall '-F 4 2 3'
loop_
_atom_site_label
_atom_site_type_symbol
_atom_site_fract_x
_atom_site_fract_y
_atom_site_fract_z
Ta1 Ta 0.250 0.250 0.250
Cr1 Cr 0.000 0.000 0.000
Os1 Os 0.000 0.000 0.500
```

The 11 most intense peaks (10 to 90 degrees two-theta), most intense first:
Position (°2θ)  Rel. int.
40.54  100
73.74  34
58.67  17
24.50  12
87.71  11
47.94  6
28.36  5
64.54  3
79.05  2
66.42  2
50.21  1

Diffraction record for Li3In2P3O12. The powder X-ray diffraction pattern is computed, not measured: it uses a crystal structure in the Materials Project, relaxed with GGA-PBE and Cu Ka.
Lines closer than 0.1° are merged.

Atomic structure:
```
data_Li3In2P3O12
_cell_length_a 8.6514
_cell_length_b 8.6514
_cell_length_c 23.5681
_cell_angle_alpha 90.00
_cell_angle_beta 90.00
_cell_angle_gamma 120.00
_space_group_name_H-M_alt 'R -3'
_space_group_IT_number 148
_space_group_name_Hall '-R 3'
loop_
_atom_site_label
_atom_site_type_symbol
_atom_site_fract_x
_atom_site_fract_y
_atom_site_fract_z
Li1 Li 0.0191 0.3779 0.2137
In1 In 0.0000 0.0000 0.1545
In2 In 0.0000 0.0000 0.3534
P1 P 0.0006 0.7030 0.2490
O1 O 0.0047 0.7984 0.3031
O2 O 0.0640 0.8379 0.5881
O3 O 0.0776 0.5695 0.8652
O4 O 0.0940 0.5661 0.5634
```

The 12 most intense peaks (10 to 90 degrees two-theta), most intense first:
Position (°2θ)  Rel. int.
19.16  100
30.75  93
14.01  60
20.53  54
28.23  51
23.48  42
35.96  37
35.16  31
50.37  27
48.02  24
61.43  21
45.47  20

Diffraction record for MgIn4Ge4O14. The powder X-ray diffraction pattern is computed, not measured: it uses a crystal structure in the Materials Project, relaxed with GGA-PBE and Cu Ka.
Lines closer than 0.1° are merged.

Atomic structure:
```
data_MgIn4Ge4O14
_cell_length_a 7.244
_cell_length_b 7.263
_cell_length_c 10.255
_cell_angle_alpha 90.00
_cell_angle_beta 90.00
_cell_angle_gamma 90.00
_space_group_name_H-M_alt 'I m m 2'
_space_group_IT_number 44
_space_group_name_Hall 'I 2 -2'
loop_
_atom_site_label
_atom_site_type_symbol
_atom_site_fract_x
_atom_site_fract_y
_atom_site_fract_z
Mg1 Mg 0.000 0.000 0.000
In1 In 0.000 0.250 0.623
In2 In 0.249 0.000 0.374
Ge1 Ge 0.000 0.274 0.136
Ge2 Ge 0.227 0.500 0.362
O1 O 0.000 0.000 0.198
O2 O 0.000 0.000 0.499
O3 O 0.000 0.000 0.802
O4 O 0.000 0.500 0.051
O5 O 0.000 0.500 0.447
O6 O 0.000 0.500 0.748
O7 O 0.198 0.198 0.999
O8 O 0.198 0.303 0.249
```

The 12 most intense peaks (10 to 90 degrees two-theta), most intense first:
Position (°2θ)  Rel. int.
30.18  100
50.31  40
59.81  38
34.99  26
84.50  9
50.38  8
38.25  8
81.94  7
81.81  7
73.92  6
45.98  6
62.70  4